(1)
Structure and computed powder X-ray diffraction pattern of Hf15SiO32 (a crystal structure in OQMD, relaxed with GGA-PBE; Cu Kα X-rays).

Cell and atoms:
a b c (Å): 7.3417 7.3730 10.1552
angles (deg): 84.14 82.78 87.74
Atoms (fractional coordinates):
Hf: 0.0000 0.0000 0.0000
Hf: 0.9999 0.9860 0.4980
Hf: 0.1651 0.2458 0.7228
Hf: 0.2059 0.7048 0.7210
Hf: 0.2140 0.7016 0.2178
Hf: 0.4486 0.0471 0.0059
Hf: 0.4571 0.0373 0.4955
Hf: 0.4918 0.5029 0.9968
Hf: 0.5005 0.4959 0.4991
Hf: 0.6676 0.7474 0.2248
Hf: 0.6688 0.7467 0.7240
Hf: 0.7056 0.2040 0.7255
Hf: 0.7245 0.2122 0.2276
Hf: 0.9621 0.5375 0.0003
Hf: 0.9634 0.5240 0.4906
Si: 0.1602 0.2224 0.2399
O: 0.0050 0.2699 0.1026
O: 0.0509 0.7925 0.8843
O: 0.0621 0.7702 0.3888
O: 0.1032 0.4610 0.8269
O: 0.1156 0.4327 0.3095
O: 0.1961 0.9805 0.1425
O: 0.1992 0.9799 0.6294
O: 0.2222 0.5009 0.5808
O: 0.2231 0.5598 0.0574
O: 0.2443 0.0963 0.8899
O: 0.2465 0.1016 0.3801
O: 0.3833 0.2562 0.1427
O: 0.4227 0.6389 0.3293
O: 0.4227 0.6391 0.8219
O: 0.4426 0.2356 0.6369
O: 0.4696 0.7615 0.5808
O: 0.4789 0.7706 0.0868
O: 0.5558 0.2845 0.8964
O: 0.5673 0.2802 0.3935
O: 0.6004 0.9612 0.8317
O: 0.6162 0.9609 0.3302
O: 0.6992 0.4719 0.1319
O: 0.7027 0.4778 0.6329
O: 0.7204 0.0344 0.0839
O: 0.7241 0.0045 0.5837
O: 0.7452 0.6019 0.8909
O: 0.7505 0.5897 0.3858
O: 0.9176 0.1523 0.8346
O: 0.9351 0.7464 0.1338
O: 0.9415 0.1353 0.3245
O: 0.9442 0.7309 0.6306
O: 0.9692 0.2535 0.5836

Most intense lines, 15° ≤ 2θ ≤ 90°, low angle first:
two_theta	I/Imax
28.48	100
28.73	95
31.62	79
32.10	74
34.24	48
35.21	34
35.82	43
50.62	22
51.58	20
54.53	23

***

(2)
Structure and computed powder X-ray diffraction pattern of Hf15SiO32 (a crystal structure in OQMD, relaxed with GGA-PBE; Cu Kα X-rays).

Cell and atoms:
a b c (Å): 7.2221 7.2221 10.0877
angles (deg): 90.00 90.00 92.11
Atoms (fractional coordinates):
Hf: 0.0000 0.0000 0.0000
Hf: 0.0000 0.0000 0.5000
Hf: 0.0000 0.5000 0.4836
Hf: 0.0000 0.5000 0.9930
Hf: 0.2336 0.7639 0.7495
Hf: 0.2361 0.7664 0.2505
Hf: 0.2619 0.2665 0.7444
Hf: 0.2665 0.2619 0.2556
Hf: 0.5000 0.0000 0.0070
Hf: 0.5000 0.0000 0.5164
Hf: 0.5000 0.5000 0.0000
Hf: 0.7335 0.7381 0.2556
Hf: 0.7381 0.7335 0.7444
Hf: 0.7639 0.2336 0.2505
Hf: 0.7664 0.2361 0.7495
Si: 0.5000 0.5000 0.5000
O: 0.0157 0.7101 0.6191
O: 0.0230 0.2127 0.3688
O: 0.0330 0.2204 0.8659
O: 0.0389 0.7293 0.1106
O: 0.2003 0.5191 0.3462
O: 0.2127 0.0230 0.6312
O: 0.2204 0.0330 0.1341
O: 0.2232 0.5241 0.8536
O: 0.2669 0.4612 0.1062
O: 0.2707 0.9611 0.8894
O: 0.2899 0.9843 0.3809
O: 0.3094 0.4824 0.5967
O: 0.4612 0.2669 0.8938
O: 0.4759 0.7768 0.1464
O: 0.4809 0.7997 0.6538
O: 0.4824 0.3094 0.4033
O: 0.5176 0.6906 0.4033
O: 0.5191 0.2003 0.6538
O: 0.5241 0.2232 0.1464
O: 0.5388 0.7331 0.8938
O: 0.6906 0.5176 0.5967
O: 0.7101 0.0157 0.3809
O: 0.7293 0.0389 0.8894
O: 0.7331 0.5388 0.1062
O: 0.7768 0.4759 0.8536
O: 0.7796 0.9670 0.1341
O: 0.7873 0.9770 0.6312
O: 0.7997 0.4809 0.3462
O: 0.9611 0.2707 0.1106
O: 0.9670 0.7796 0.8659
O: 0.9770 0.7873 0.3688
O: 0.9843 0.2899 0.6191

Most intense lines, 15° ≤ 2θ ≤ 90°, low angle first:
two_theta	I/Imax
30.46	100
34.50	13
35.60	11
35.83	10
50.41	15
50.59	15
51.40	15
59.31	14
60.78	13
61.09	13

***

(3)
Structure and computed powder X-ray diffraction pattern of Hf7SiO16 (a crystal structure in OQMD, relaxed with GGA-PBE; Cu Kα X-rays).

Cell and atoms:
a b c (Å): 6.7511 7.8490 10.1038
angles (deg): 91.42 91.31 93.37
Atoms (fractional coordinates):
Hf: 0.0011 0.2716 0.2416
Hf: 0.0055 0.7225 0.2652
Hf: 0.2451 0.0355 0.5168
Hf: 0.2485 0.0378 0.0296
Hf: 0.2570 0.4807 0.4839
Hf: 0.2572 0.4949 0.9721
Hf: 0.4888 0.7857 0.2250
Hf: 0.5112 0.2143 0.7750
Hf: 0.7428 0.5051 0.0279
Hf: 0.7430 0.5193 0.5161
Hf: 0.7515 0.9622 0.9704
Hf: 0.7549 0.9645 0.4832
Hf: 0.9945 0.2775 0.7348
Hf: 0.9989 0.7284 0.7584
Si: 0.4582 0.7796 0.7237
Si: 0.5418 0.2204 0.2763
O: 0.0323 0.9106 0.8991
O: 0.0343 0.9249 0.3883
O: 0.0394 0.4970 0.6259
O: 0.0408 0.4875 0.1233
O: 0.1606 0.2482 0.4106
O: 0.2056 0.2506 0.8928
O: 0.2105 0.8239 0.1363
O: 0.2291 0.8367 0.6505
O: 0.2876 0.6742 0.3540
O: 0.2942 0.2571 0.6396
O: 0.3013 0.6705 0.8339
O: 0.3186 0.2328 0.1794
O: 0.4508 0.9953 0.8780
O: 0.4574 0.0274 0.3690
O: 0.4686 0.5816 0.1033
O: 0.4818 0.6129 0.6065
O: 0.5182 0.3871 0.3935
O: 0.5314 0.4184 0.8967
O: 0.5426 0.9726 0.6310
O: 0.5492 0.0047 0.1220
O: 0.6814 0.7672 0.8206
O: 0.6987 0.3295 0.1661
O: 0.7058 0.7429 0.3604
O: 0.7124 0.3258 0.6460
O: 0.7709 0.1633 0.3495
O: 0.7895 0.1761 0.8637
O: 0.7944 0.7494 0.1072
O: 0.8394 0.7518 0.5894
O: 0.9592 0.5125 0.8767
O: 0.9606 0.5030 0.3741
O: 0.9657 0.0751 0.6117
O: 0.9677 0.0894 0.1009

Most intense lines, 15° ≤ 2θ ≤ 90°, low angle first:
two_theta	I/Imax
28.48	100
29.22	91
31.57	81
32.30	72
34.06	49
35.56	30
36.18	47
50.06	37
50.68	22
54.48	21

***

(4)
Structure and computed powder X-ray diffraction pattern of Hf7SiO16 (a crystal structure in OQMD, relaxed with GGA-PBE; Cu Kα X-rays).

Cell and atoms:
a b c (Å): 7.2992 7.3178 10.0883
angles (deg): 84.43 84.30 86.50
Atoms (fractional coordinates):
Hf: 0.0000 0.0000 0.0000
Hf: 0.0011 0.0201 0.4899
Hf: 0.1690 0.2599 0.2169
Hf: 0.1909 0.2389 0.7361
Hf: 0.2037 0.7278 0.2282
Hf: 0.2232 0.7073 0.7078
Hf: 0.4596 0.0551 0.4987
Hf: 0.4905 0.4988 0.9874
Hf: 0.6582 0.7777 0.2158
Hf: 0.6749 0.7570 0.7240
Hf: 0.6987 0.2377 0.2272
Hf: 0.7172 0.2209 0.7224
Hf: 0.9468 0.5362 0.4888
Hf: 0.9676 0.5493 0.9855
Si: 0.4924 0.0547 0.9855
Si: 0.5095 0.5375 0.4773
O: 0.0383 0.7936 0.3958
O: 0.0583 0.7928 0.8821
O: 0.1181 0.4775 0.3284
O: 0.1321 0.9943 0.1678
O: 0.1480 0.4643 0.8324
O: 0.1918 0.9831 0.6328
O: 0.2322 0.5248 0.0870
O: 0.2476 0.1086 0.3877
O: 0.2737 0.0876 0.9187
O: 0.2910 0.5041 0.5745
O: 0.4187 0.6756 0.3401
O: 0.4290 0.6717 0.8280
O: 0.4341 0.2147 0.1226
O: 0.4497 0.8352 0.0851
O: 0.4533 0.1892 0.6644
O: 0.4830 0.7770 0.5762
O: 0.5375 0.3255 0.4052
O: 0.5614 0.2717 0.8979
O: 0.6262 0.9606 0.8502
O: 0.6267 0.9890 0.3339
O: 0.6533 0.5067 0.1386
O: 0.6643 0.4791 0.6146
O: 0.7203 0.0306 0.0814
O: 0.7251 0.6120 0.3894
O: 0.7445 0.0100 0.5959
O: 0.7500 0.5724 0.8798
O: 0.9089 0.2026 0.3445
O: 0.9299 0.7355 0.1304
O: 0.9364 0.1654 0.8373
O: 0.9495 0.7021 0.6425
O: 0.9538 0.2912 0.0902
O: 0.9820 0.2837 0.5978

Most intense lines, 15° ≤ 2θ ≤ 90°, low angle first:
two_theta	I/Imax
24.51	13
29.02	100
31.77	79
33.99	25
35.91	38
50.17	11
51.62	11
51.73	11
53.83	11
63.57	12

***

(5)
Structure and computed powder X-ray diffraction pattern of Hf15SiO32 (a crystal structure in OQMD, relaxed with GGA-PBE; Cu Kα X-rays).

Cell and atoms:
a b c (Å): 6.7405 7.8989 10.1892
angles (deg): 90.35 90.80 92.54
Atoms (fractional coordinates):
Hf: 0.0000 0.0000 0.0000
Hf: 0.0002 0.0124 0.5029
Hf: 0.0172 0.4352 0.0468
Hf: 0.2419 0.7458 0.7891
Hf: 0.2529 0.7500 0.2980
Hf: 0.2608 0.1946 0.7531
Hf: 0.2742 0.1866 0.2533
Hf: 0.5019 0.5041 0.0054
Hf: 0.5042 0.5021 0.5088
Hf: 0.5148 0.9391 0.0425
Hf: 0.5172 0.9441 0.5450
Hf: 0.7494 0.2609 0.7911
Hf: 0.7573 0.6870 0.7497
Hf: 0.7641 0.2595 0.3009
Hf: 0.7694 0.6929 0.2545
Si: 0.0502 0.4413 0.5392
O: 0.0299 0.5953 0.6651
O: 0.0408 0.2305 0.8920
O: 0.0495 0.6171 0.1853
O: 0.0594 0.2411 0.3967
O: 0.2069 0.9642 0.6492
O: 0.2078 0.5659 0.4381
O: 0.2157 0.5656 0.9288
O: 0.2219 0.9549 0.1464
O: 0.2797 0.3719 0.6073
O: 0.2905 0.9793 0.8995
O: 0.3005 0.3697 0.1174
O: 0.3000 0.9846 0.4024
O: 0.4610 0.7194 0.6466
O: 0.4634 0.3134 0.8736
O: 0.4707 0.7085 0.1517
O: 0.4818 0.3280 0.3650
O: 0.5382 0.7302 0.8925
O: 0.5395 0.1285 0.6781
O: 0.5475 0.7252 0.3965
O: 0.5558 0.1188 0.1831
O: 0.6643 0.4599 0.6722
O: 0.7181 0.0671 0.9271
O: 0.7203 0.0682 0.4275
O: 0.7228 0.4583 0.1568
O: 0.7934 0.4842 0.9098
O: 0.7982 0.8802 0.6201
O: 0.7995 0.8630 0.1124
O: 0.8256 0.4721 0.4390
O: 0.9598 0.2466 0.6362
O: 0.9687 0.8110 0.8634
O: 0.9732 0.2043 0.1513
O: 0.9732 0.8254 0.3670

Most intense lines, 15° ≤ 2θ ≤ 90°, low angle first:
two_theta	I/Imax
28.52	100
28.71	96
31.65	79
32.08	75
34.24	49
35.24	34
35.83	43
50.72	23
51.54	20
54.51	23

***

(6)
Structure and computed powder X-ray diffraction pattern of Hf7SiO16 (a crystal structure in OQMD, relaxed with GGA-PBE; Cu Kα X-rays).

Cell and atoms:
a b c (Å): 6.8633 7.5179 10.1598
angles (deg): 89.39 89.84 87.05
Atoms (fractional coordinates):
Hf: 0.0000 0.0000 0.0000
Hf: 0.9998 0.4909 0.0176
Hf: 0.0006 0.4887 0.5056
Hf: 0.0006 0.9939 0.4879
Hf: 0.2461 0.7157 0.2657
Hf: 0.2482 0.7049 0.7780
Hf: 0.2487 0.2169 0.2396
Hf: 0.2504 0.2045 0.7275
Hf: 0.5004 0.4952 0.5383
Hf: 0.4999 0.9873 0.9673
Hf: 0.7497 0.2783 0.7781
Hf: 0.7520 0.2705 0.2666
Hf: 0.7520 0.7780 0.7273
Hf: 0.7547 0.7717 0.2390
Si: 0.5000 0.9901 0.4706
Si: 0.5009 0.4957 0.0348
O: 0.0294 0.2820 0.8767
O: 0.0307 0.7889 0.6309
O: 0.0321 0.7774 0.1215
O: 0.0325 0.2720 0.3834
O: 0.1879 0.4718 0.1754
O: 0.1924 0.9688 0.3318
O: 0.2124 0.4672 0.6618
O: 0.2125 0.9650 0.8451
O: 0.2794 0.0335 0.0914
O: 0.2800 0.5259 0.4130
O: 0.3019 0.5248 0.9391
O: 0.3029 0.0278 0.5672
O: 0.4721 0.2109 0.8662
O: 0.4715 0.7156 0.6393
O: 0.4859 0.6816 0.1297
O: 0.4886 0.1737 0.3719
O: 0.5117 0.3142 0.1353
O: 0.5144 0.8063 0.3739
O: 0.5283 0.2716 0.6395
O: 0.5289 0.7671 0.8658
O: 0.6975 0.4553 0.9383
O: 0.6986 0.9586 0.5663
O: 0.7215 0.4546 0.4139
O: 0.7207 0.9626 0.0926
O: 0.7880 0.0153 0.8436
O: 0.7876 0.5176 0.6606
O: 0.8075 0.5185 0.1732
O: 0.8121 0.0155 0.3305
O: 0.9684 0.2153 0.1233
O: 0.9686 0.7099 0.3828
O: 0.9697 0.6922 0.8729
O: 0.9710 0.1997 0.6302

Most intense lines, 15° ≤ 2θ ≤ 90°, low angle first:
two_theta	I/Imax
29.44	100
29.74	94
31.45	88
31.52	85
34.52	49
35.34	35
36.40	37
48.50	26
53.47	27
63.53	23

***

(7)
Structure and computed powder X-ray diffraction pattern of Sm2Hf2O5 (a crystal structure in OQMD, relaxed with GGA-PBE; Cu Kα X-rays).

Cell and atoms:
a b c (Å): 4.0995 4.0995 7.3766
angles (deg): 90.00 90.00 90.00
Atoms (fractional coordinates):
Sm: 0.0000 0.0000 0.0000
Sm: 0.0000 0.0000 0.5000
Hf: 0.5000 0.5000 0.2183
Hf: 0.5000 0.5000 0.7817
O: 0.0000 0.5000 0.2539
O: 0.0000 0.5000 0.7461
O: 0.5000 0.0000 0.2539
O: 0.5000 0.0000 0.7461
O: 0.5000 0.5000 0.5000

Most intense lines, 15° ≤ 2θ ≤ 90°, low angle first:
two_theta	I/Imax
30.85	57
32.66	100
44.19	31
49.42	8
56.01	44
59.40	13
64.27	10
68.43	12
72.98	10
73.97	10